The following is a simulated PXRD pattern of UBeBiO6. It was derived from a structure optimized by DFT (PBE), using Cu Kα (λ = 1.5418 Å).

The 8 most intense peaks (10 to 80 degrees two-theta), in order of falling intensity:
| Position (°2θ) | I (rel.) | h k l |
| --- | --- | --- |
| 26.91 | 100 | 1 0 2 |
| 21.77 | 52 | 1 0 1 |
| 51.25 | 38 | 1 1 4 |
| 34.61 | 38 | 1 1 0 |
| 44.38 | 26 | 2 0 2 |
| 57.47 | 25 | 2 1 2 |
| 33.88 | 20 | 1 0 3 |
| 41.26 | 13 | 2 0 1 |

Structural model:
Cell: 5.183 5.183 9.824 Å, 90.00 90.00 120.00°
Fractional positions:
U  0.333  0.667  0.250
U  0.667  0.333  0.750
Be  0.333  0.667  0.750
Be  0.667  0.333  0.250
Bi  0.000  0.000  0.000
Bi  0.000  0.000  0.500
O  0.026  0.372  0.640
O  0.026  0.654  0.860
O  0.346  0.372  0.860
O  0.346  0.974  0.640
O  0.372  0.026  0.140
O  0.372  0.346  0.360
O  0.628  0.654  0.640
O  0.628  0.974  0.860
O  0.654  0.026  0.360
O  0.654  0.628  0.140
O  0.974  0.346  0.140
O  0.974  0.628  0.360